Entry 1:
The following is a calculated powder X-ray diffraction pattern of Li2CrO4. It was derived from a structure optimized by DFT (PBE+U), using Cu Kα.
Lines closer than 0.1° are merged.

Atomic structure:
Cell: 6.659 5.362 5.068 Å, 90.00 90.00 90.00°
Element x y z (fractional)
Li: 0.246 0.178 0.000
Li: 0.254 0.822 0.500
Li: 0.746 0.822 0.500
Li: 0.754 0.178 0.000
Cr: 0.000 0.678 0.009
Cr: 0.500 0.322 0.509
O: 0.000 0.379 0.923
O: 0.000 0.704 0.336
O: 0.203 0.822 0.892
O: 0.297 0.178 0.392
O: 0.500 0.296 0.836
O: 0.500 0.621 0.423
O: 0.703 0.178 0.392
O: 0.797 0.822 0.892

Principal peaks in the range 10 to 80 degrees two-theta, low angle first:
| 2θ (°) | Rel. int. |
| --- | --- |
| 21.3 | 90 |
| 22.0 | 100 |
| 24.2 | 33 |
| 31.6 | 27 |
| 35.4 | 24 |
| 36.4 | 20 |

***

Entry 2:
The following is a calculated powder X-ray diffraction pattern of Cs2MnV2Br2O6. It was derived from a structure optimized by DFT (PBE+U), using Cu Kα.
Lines closer than 0.1° are merged.

Atomic structure:
Cell: 9.445 9.445 6.032 Å, 90.00 90.00 144.48°
Element x y z (fractional)
Cs: 0.133 0.867 0.000
Cs: 0.867 0.133 0.000
Mn: 0.500 0.500 0.488
V: 0.300 0.700 0.493
V: 0.700 0.300 0.493
Br: 0.000 0.000 0.472
Br: 0.500 0.500 0.919
O: 0.000 0.500 0.384
O: 0.298 0.702 0.767
O: 0.390 0.610 0.398
O: 0.500 0.000 0.384
O: 0.610 0.390 0.398
O: 0.702 0.298 0.767

Principal peaks in the range 10 to 80 degrees two-theta, low angle first:
| 2θ (°) | Rel. int. |
| --- | --- |
| 24.7 | 43 |
| 26.0 | 100 |
| 29.6 | 34 |
| 31.0 | 37 |
| 40.1 | 26 |
| 43.4 | 21 |

***

Entry 3:
The following is a calculated powder X-ray diffraction pattern of LaTb3Mo4O14. It was derived from a structure optimized by DFT (PBE+U), using Cu Kα.
Lines closer than 0.1° are merged.

Atomic structure:
Cell: 7.397 7.397 7.397 Å, 60.91 60.91 60.91°
Element x y z (fractional)
La: 0.000 0.000 0.000
Tb: 0.000 0.000 0.500
Tb: 0.000 0.500 0.000
Tb: 0.500 0.000 0.000
Mo: 0.000 0.500 0.500
Mo: 0.500 0.000 0.500
Mo: 0.500 0.500 0.000
Mo: 0.500 0.500 0.500
O: 0.129 0.129 0.129
O: 0.153 0.591 0.591
O: 0.168 0.168 0.584
O: 0.168 0.584 0.168
O: 0.409 0.409 0.847
O: 0.409 0.847 0.409
O: 0.416 0.832 0.832
O: 0.584 0.168 0.168
O: 0.591 0.153 0.591
O: 0.591 0.591 0.153
O: 0.832 0.416 0.832
O: 0.832 0.832 0.416
O: 0.847 0.409 0.409
O: 0.871 0.871 0.871

Principal peaks in the range 10 to 80 degrees two-theta, low angle first:
| 2θ (°) | Rel. int. |
| --- | --- |
| 29.2 | 100 |
| 29.8 | 33 |
| 34.1 | 42 |
| 48.6 | 33 |
| 49.3 | 31 |
| 58.0 | 29 |

***

Entry 4:
The following is a calculated powder X-ray diffraction pattern of NaCaHfWO6. It was derived from a structure optimized by DFT (PBE+U), using Cu Kα.
Lines closer than 0.1° are merged.

Atomic structure:
Cell: 5.711 5.711 5.711 Å, 60.00 60.00 60.00°
Element x y z (fractional)
Na: 0.000 0.000 0.000
Ca: 0.500 0.500 0.500
Hf: 0.750 0.750 0.750
W: 0.250 0.250 0.250
O: 0.005 0.005 0.495
O: 0.005 0.495 0.005
O: 0.005 0.495 0.495
O: 0.495 0.005 0.005
O: 0.495 0.005 0.495
O: 0.495 0.495 0.005

Principal peaks in the range 10 to 80 degrees two-theta, low angle first:
| 2θ (°) | Rel. int. |
| --- | --- |
| 22.0 | 83 |
| 31.3 | 100 |
| 44.9 | 32 |
| 50.5 | 36 |
| 55.8 | 40 |
| 65.4 | 20 |